1.
Calculated powder diffraction line list of RbSnPt for CuKα, from a cell relaxed with GGA-PBE.

Crystal structure
```
data_RbSnPt
_chemical_formula_sum 'Rb4 Sn4 Pt4'
_symmetry_space_group_name_H-M 'P 1'
_symmetry_Int_Tables_number 1
_cell_length_a 4.7455
_cell_length_b 16.0289
_cell_length_c 6.9286
_cell_angle_alpha 90.00
_cell_angle_beta 133.10
_cell_angle_gamma 90.00
loop_
_symmetry_equiv_pos_as_xyz
'x,y,z'
loop_
_atom_site_label
_atom_site_fract_x
_atom_site_fract_y
_atom_site_fract_z
_atom_site_occupancy
Rb1 0.0371 0.1695 0.2881 1
Rb2 0.0371 0.3305 0.7881 1
Rb3 0.9629 0.6695 0.2119 1
Rb4 0.9629 0.8305 0.7119 1
Sn1 0.0743 0.0670 0.8251 1
Sn2 0.0743 0.4330 0.3251 1
Sn3 0.9257 0.5670 0.6749 1
Sn4 0.9257 0.9330 0.1749 1
Pt1 0.4238 0.0017 0.6747 1
Pt2 0.4238 0.4983 0.1747 1
Pt3 0.5762 0.5017 0.8253 1
Pt4 0.5762 0.9983 0.3253 1
```

Top 10 peaks for 10° ≤ 2θ ≤ 80°, in order of rising 2θ:
2theta  I_rel
11.0  100
28.1  19
28.4  17
29.2  16
34.2  27
37.9  17
39.6  10
40.8  18
44.0  14
52.8  21

---

2.
Calculated powder diffraction line list of Rb6SnPt for CuKα, from a cell relaxed with GGA-PBE.

Crystal structure
```
data_Rb6SnPt
_chemical_formula_sum 'Rb12 Sn2 Pt2'
_symmetry_space_group_name_H-M 'P 1'
_symmetry_Int_Tables_number 1
_cell_length_a 4.6849
_cell_length_b 14.3908
_cell_length_c 15.3501
_cell_angle_alpha 90.00
_cell_angle_beta 90.00
_cell_angle_gamma 90.00
loop_
_symmetry_equiv_pos_as_xyz
'x,y,z'
loop_
_atom_site_label
_atom_site_fract_x
_atom_site_fract_y
_atom_site_fract_z
_atom_site_occupancy
Rb1 0.0000 0.0000 0.0000 1
Rb2 0.0000 0.1416 0.6959 1
Rb3 0.0000 0.3584 0.1959 1
Rb4 0.0000 0.5000 0.5000 1
Rb5 0.0000 0.6416 0.1959 1
Rb6 0.0000 0.8584 0.6959 1
Rb7 0.5000 0.0000 0.2782 1
Rb8 0.5000 0.2125 0.4617 1
Rb9 0.5000 0.2875 0.9617 1
Rb10 0.5000 0.5000 0.7782 1
Rb11 0.5000 0.7125 0.9617 1
Rb12 0.5000 0.7875 0.4617 1
Sn1 0.0000 0.0000 0.4848 1
Sn2 0.0000 0.5000 0.9848 1
Pt1 0.5000 0.0000 0.5616 1
Pt2 0.5000 0.5000 0.0616 1
```

Top 10 peaks for 10° ≤ 2θ ≤ 80°, in order of rising 2θ:
2theta  I_rel
11.5  61
12.3  51
20.8  29
25.5  100
26.3  34
26.5  46
27.4  43
31.9  31
32.6  45
42.2  32

---

3.
Calculated powder diffraction line list of RbSnTePt2 for CuKα, from a cell relaxed with GGA-PBE.

Crystal structure
```
data_RbSnTePt2
_chemical_formula_sum 'Rb1 Sn1 Te1 Pt2'
_symmetry_space_group_name_H-M 'P 1'
_symmetry_Int_Tables_number 1
_cell_length_a 5.0794
_cell_length_b 5.0794
_cell_length_c 6.1892
_cell_angle_alpha 90.00
_cell_angle_beta 90.00
_cell_angle_gamma 90.00
loop_
_symmetry_equiv_pos_as_xyz
'x,y,z'
loop_
_atom_site_label
_atom_site_fract_x
_atom_site_fract_y
_atom_site_fract_z
_atom_site_occupancy
Rb1 0.0000 0.0000 0.0000 1
Sn1 0.5000 0.5000 0.0000 1
Te1 0.0000 0.0000 0.5000 1
Pt1 0.0000 0.5000 0.5000 1
Pt2 0.5000 0.0000 0.5000 1
```

Top 10 peaks for 10° ≤ 2θ ≤ 80°, in order of rising 2θ:
2theta  I_rel
14.3  52
22.6  21
28.7  100
28.9  58
35.3  68
38.3  20
46.2  65
50.8  24
51.1  21
59.5  57

---

4.
Calculated powder diffraction line list of Rb2Sr4Pt for CuKα, from a cell relaxed with GGA-PBE.

Crystal structure
```
data_Rb2Sr4Pt
_chemical_formula_sum 'Rb4 Sr8 Pt2'
_symmetry_space_group_name_H-M 'P 1'
_symmetry_Int_Tables_number 1
_cell_length_a 6.0629
_cell_length_b 6.0629
_cell_length_c 23.2093
_cell_angle_alpha 90.00
_cell_angle_beta 90.00
_cell_angle_gamma 90.00
loop_
_symmetry_equiv_pos_as_xyz
'x,y,z'
loop_
_atom_site_label
_atom_site_fract_x
_atom_site_fract_y
_atom_site_fract_z
_atom_site_occupancy
Rb1 0.0000 0.0000 0.1766 1
Rb2 0.0000 0.0000 0.8234 1
Rb3 0.5000 0.5000 0.3234 1
Rb4 0.5000 0.5000 0.6766 1
Sr1 0.0000 0.0000 0.3742 1
Sr2 0.0000 0.0000 0.6258 1
Sr3 0.0000 0.5000 0.0000 1
Sr4 0.0000 0.5000 0.5000 1
Sr5 0.5000 0.0000 0.0000 1
Sr6 0.5000 0.0000 0.5000 1
Sr7 0.5000 0.5000 0.1258 1
Sr8 0.5000 0.5000 0.8742 1
Pt1 0.0000 0.0000 0.5000 1
Pt2 0.5000 0.5000 0.0000 1
```

Top 10 peaks for 10° ≤ 2θ ≤ 80°, in order of rising 2θ:
2theta  I_rel
15.1  100
18.6  61
20.7  58
23.0  48
29.5  94
30.8  43
37.7  53
37.9  39
43.1  44
48.7  37

---

5.
Calculated powder diffraction line list of RbSr2ZrPt for CuKα, from a cell relaxed with GGA-PBE.

Crystal structure
```
data_RbSr2ZrPt
_chemical_formula_sum 'Rb1 Sr2 Zr1 Pt1'
_symmetry_space_group_name_H-M 'P 1'
_symmetry_Int_Tables_number 1
_cell_length_a 5.8670
_cell_length_b 5.8670
_cell_length_c 6.2620
_cell_angle_alpha 90.00
_cell_angle_beta 90.00
_cell_angle_gamma 90.00
loop_
_symmetry_equiv_pos_as_xyz
'x,y,z'
loop_
_atom_site_label
_atom_site_fract_x
_atom_site_fract_y
_atom_site_fract_z
_atom_site_occupancy
Rb1 0.0000 0.0000 0.0000 1
Sr1 0.0000 0.5000 0.5000 1
Sr2 0.5000 0.0000 0.5000 1
Zr1 0.5000 0.5000 0.0000 1
Pt1 0.0000 0.0000 0.5000 1
```

Top 10 peaks for 10° ≤ 2θ ≤ 80°, in order of rising 2θ:
2theta  I_rel
14.1  35
15.1  59
20.7  67
21.4  30
28.5  59
30.5  100
37.2  31
42.2  82
43.6  37
53.0  42

---

6.
Calculated powder diffraction line list of RbTcPt for CuKα, from a cell relaxed with GGA-PBE.

Crystal structure
```
data_RbTcPt
_chemical_formula_sum 'Rb4 Tc4 Pt4'
_symmetry_space_group_name_H-M 'P 1'
_symmetry_Int_Tables_number 1
_cell_length_a 7.3521
_cell_length_b 4.2447
_cell_length_c 12.1250
_cell_angle_alpha 90.00
_cell_angle_beta 90.74
_cell_angle_gamma 90.00
loop_
_symmetry_equiv_pos_as_xyz
'x,y,z'
loop_
_atom_site_label
_atom_site_fract_x
_atom_site_fract_y
_atom_site_fract_z
_atom_site_occupancy
Rb1 0.1731 0.0000 0.3017 1
Rb2 0.3269 0.5000 0.6983 1
Rb3 0.6731 0.5000 0.3017 1
Rb4 0.8269 0.0000 0.6983 1
Tc1 0.1669 0.0000 0.9988 1
Tc2 0.3331 0.5000 0.0012 1
Tc3 0.6669 0.5000 0.9988 1
Tc4 0.8331 0.0000 0.0012 1
Pt1 0.0026 0.5000 0.1126 1
Pt2 0.4974 0.0000 0.8874 1
Pt3 0.5026 0.0000 0.1126 1
Pt4 0.9974 0.5000 0.8874 1
```

Top 10 peaks for 10° ≤ 2θ ≤ 80°, in order of rising 2θ:
2theta  I_rel
24.2  29
25.2  33
25.4  60
32.7  25
33.0  51
38.4  62
38.6  19
38.8  30
42.6  100
43.2  46

---

7.
Calculated powder diffraction line list of RbTePt for CuKα, from a cell relaxed with GGA-PBE.

Crystal structure
```
data_RbTePt
_chemical_formula_sum 'Rb4 Te4 Pt4'
_symmetry_space_group_name_H-M 'P 1'
_symmetry_Int_Tables_number 1
_cell_length_a 6.9974
_cell_length_b 7.4899
_cell_length_c 8.5335
_cell_angle_alpha 90.00
_cell_angle_beta 116.61
_cell_angle_gamma 90.00
loop_
_symmetry_equiv_pos_as_xyz
'x,y,z'
loop_
_atom_site_label
_atom_site_fract_x
_atom_site_fract_y
_atom_site_fract_z
_atom_site_occupancy
Rb1 0.1880 0.1039 0.3914 1
Rb2 0.1880 0.3961 0.8914 1
Rb3 0.8120 0.6039 0.1086 1
Rb4 0.8120 0.8961 0.6086 1
Te1 0.3109 0.5982 0.5460 1
Te2 0.3109 0.9018 0.0460 1
Te3 0.6891 0.0982 0.9540 1
Te4 0.6891 0.4018 0.4540 1
Pt1 0.4156 0.6642 0.2880 1
Pt2 0.4156 0.8358 0.7880 1
Pt3 0.5844 0.1642 0.2120 1
Pt4 0.5844 0.3358 0.7120 1
```

Top 10 peaks for 10° ≤ 2θ ≤ 80°, in order of rising 2θ:
2theta  I_rel
14.2  100
18.5  35
26.5  49
27.6  35
30.1  34
31.0  52
32.6  74
33.7  34
44.7  36
48.6  26

---

8.
Calculated powder diffraction line list of Rb3TlPt for CuKα, from a cell relaxed with GGA-PBE.

Crystal structure
```
data_Rb3TlPt
_chemical_formula_sum 'Rb12 Tl4 Pt4'
_symmetry_space_group_name_H-M 'P 1'
_symmetry_Int_Tables_number 1
_cell_length_a 14.2575
_cell_length_b 14.2575
_cell_length_c 5.3208
_cell_angle_alpha 90.00
_cell_angle_beta 90.00
_cell_angle_gamma 90.00
loop_
_symmetry_equiv_pos_as_xyz
'x,y,z'
loop_
_atom_site_label
_atom_site_fract_x
_atom_site_fract_y
_atom_site_fract_z
_atom_site_occupancy
Rb1 0.0974 0.0974 0.0000 1
Rb2 0.1323 0.6413 0.0000 1
Rb3 0.1413 0.3677 0.5000 1
Rb4 0.3587 0.8677 0.0000 1
Rb5 0.3677 0.1413 0.5000 1
Rb6 0.4026 0.5974 0.5000 1
Rb7 0.5974 0.4026 0.5000 1
Rb8 0.6323 0.8587 0.5000 1
Rb9 0.6413 0.1323 0.0000 1
Rb10 0.8587 0.6323 0.5000 1
Rb11 0.8677 0.3587 0.0000 1
Rb12 0.9026 0.9026 0.0000 1
Tl1 0.1338 0.8662 0.5000 1
Tl2 0.3662 0.3662 0.0000 1
Tl3 0.6338 0.6338 0.0000 1
Tl4 0.8662 0.1338 0.5000 1
Pt1 0.1332 0.8668 0.0000 1
Pt2 0.3668 0.3668 0.5000 1
Pt3 0.6332 0.6332 0.5000 1
Pt4 0.8668 0.1332 0.0000 1
```

Top 10 peaks for 10° ≤ 2θ ≤ 80°, in order of rising 2θ:
2theta  I_rel
13.9  100
24.3  30
25.0  82
33.7  21
33.9  25
35.6  29
36.6  20
42.4  40
48.5  19
49.8  23

---

9.
Calculated powder diffraction line list of Rb2TlPt2 for CuKα, from a cell relaxed with GGA-PBE.

Crystal structure
```
data_Rb2TlPt2
_chemical_formula_sum 'Rb4 Tl2 Pt4'
_symmetry_space_group_name_H-M 'P 1'
_symmetry_Int_Tables_number 1
_cell_length_a 6.3924
_cell_length_b 6.3924
_cell_length_c 8.2212
_cell_angle_alpha 97.87
_cell_angle_beta 97.87
_cell_angle_gamma 67.32
loop_
_symmetry_equiv_pos_as_xyz
'x,y,z'
loop_
_atom_site_label
_atom_site_fract_x
_atom_site_fract_y
_atom_site_fract_z
_atom_site_occupancy
Rb1 0.0162 0.2703 0.1305 1
Rb2 0.2703 0.0162 0.6305 1
Rb3 0.7297 0.9838 0.3695 1
Rb4 0.9838 0.7297 0.8695 1
Tl1 0.4406 0.5594 0.2500 1
Tl2 0.5594 0.4406 0.7500 1
Pt1 0.1976 0.5081 0.4893 1
Pt2 0.4919 0.8024 0.0107 1
Pt3 0.5081 0.1976 0.9893 1
Pt4 0.8024 0.4919 0.5107 1
```

Top 10 peaks for 10° ≤ 2θ ≤ 80°, in order of rising 2θ:
2theta  I_rel
15.1  76
17.8  23
19.5  34
27.5  27
30.0  36
31.4  30
33.4  100
35.3  29
37.6  28
46.0  28

---

10.
Calculated powder diffraction line list of Rb4Tl4Pt for CuKα, from a cell relaxed with GGA-PBE.

Crystal structure
```
data_Rb4Tl4Pt
_chemical_formula_sum 'Rb4 Tl4 Pt1'
_symmetry_space_group_name_H-M 'P 1'
_symmetry_Int_Tables_number 1
_cell_length_a 10.4251
_cell_length_b 10.4251
_cell_length_c 10.4251
_cell_angle_alpha 143.13
_cell_angle_beta 143.13
_cell_angle_gamma 53.13
loop_
_symmetry_equiv_pos_as_xyz
'x,y,z'
loop_
_atom_site_label
_atom_site_fract_x
_atom_site_fract_y
_atom_site_fract_z
_atom_site_occupancy
Rb1 0.1127 0.1127 0.5337 1
Rb2 0.4210 0.8873 0.0000 1
Rb3 0.5790 0.5790 0.4663 1
Rb4 0.8873 0.4210 0.0000 1
Tl1 0.1706 0.7244 0.0000 1
Tl2 0.2756 0.2756 0.4462 1
Tl3 0.7244 0.1706 0.0000 1
Tl4 0.8294 0.8294 0.5538 1
Pt1 0.5000 0.5000 0.0000 1
```

Top 10 peaks for 10° ≤ 2θ ≤ 80°, in order of rising 2θ:
2theta  I_rel
27.0  100
30.7  11
33.6  12
34.7  29
38.6  23
39.9  11
47.8  35
52.9  15
56.7  18
63.1  9

---

11.
Calculated powder diffraction line list of Rb6Tl3Pt for CuKα, from a cell relaxed with GGA-PBE.

Crystal structure
```
data_Rb6Tl3Pt
_chemical_formula_sum 'Rb12 Tl6 Pt2'
_symmetry_space_group_name_H-M 'P 1'
_symmetry_Int_Tables_number 1
_cell_length_a 10.8319
_cell_length_b 7.5783
_cell_length_c 15.4594
_cell_angle_alpha 90.00
_cell_angle_beta 134.01
_cell_angle_gamma 90.00
loop_
_symmetry_equiv_pos_as_xyz
'x,y,z'
loop_
_atom_site_label
_atom_site_fract_x
_atom_site_fract_y
_atom_site_fract_z
_atom_site_occupancy
Rb1 0.0776 0.2480 0.3494 1
Rb2 0.0776 0.2520 0.8494 1
Rb3 0.2226 0.1213 0.6601 1
Rb4 0.2226 0.3787 0.1601 1
Rb5 0.3836 0.5777 0.8173 1
Rb6 0.3836 0.9223 0.3173 1
Rb7 0.6164 0.0777 0.6827 1
Rb8 0.6164 0.4223 0.1827 1
Rb9 0.7774 0.6213 0.8399 1
Rb10 0.7774 0.8787 0.3399 1
Rb11 0.9224 0.7480 0.1506 1
Rb12 0.9224 0.7520 0.6506 1
Tl1 0.2408 0.6703 0.5132 1
Tl2 0.2408 0.8297 0.0132 1
Tl3 0.5000 0.0000 0.0000 1
Tl4 0.5000 0.5000 0.5000 1
Tl5 0.7592 0.1703 0.9868 1
Tl6 0.7592 0.3297 0.4868 1
Pt1 0.0000 0.0000 0.0000 1
Pt2 0.0000 0.5000 0.5000 1
```

Top 10 peaks for 10° ≤ 2θ ≤ 80°, in order of rising 2θ:
2theta  I_rel
14.1  100
15.9  55
24.9  42
25.9  46
26.8  83
28.0  32
28.1  36
28.8  67
33.1  40
40.2  55

---

12.
Calculated powder diffraction line list of Rb3Tl5Pt6 for CuKα, from a cell relaxed with GGA-PBE.

Crystal structure
```
data_Rb3Tl5Pt6
_chemical_formula_sum 'Rb3 Tl5 Pt6'
_symmetry_space_group_name_H-M 'P 1'
_symmetry_Int_Tables_number 1
_cell_length_a 9.2426
_cell_length_b 9.2426
_cell_length_c 9.2426
_cell_angle_alpha 150.34
_cell_angle_beta 102.24
_cell_angle_gamma 85.36
loop_
_symmetry_equiv_pos_as_xyz
'x,y,z'
loop_
_atom_site_label
_atom_site_fract_x
_atom_site_fract_y
_atom_site_fract_z
_atom_site_occupancy
Rb1 0.0000 0.0000 0.0000 1
Rb2 0.3123 0.3123 0.0000 1
Rb3 0.6877 0.6877 0.0000 1
Tl1 0.0129 0.6880 0.3248 1
Tl2 0.3632 0.6880 0.6752 1
Tl3 0.5000 0.0000 0.5000 1
Tl4 0.6368 0.3120 0.3248 1
Tl5 0.9871 0.3120 0.6752 1
Pt1 0.1791 0.8992 0.2799 1
Pt2 0.2811 0.5000 0.7811 1
Pt3 0.3808 0.1008 0.2799 1
Pt4 0.6192 0.8992 0.7201 1
Pt5 0.7189 0.5000 0.2189 1
Pt6 0.8209 0.1008 0.7201 1
```

Top 10 peaks for 10° ≤ 2θ ≤ 80°, in order of rising 2θ:
2theta  I_rel
10.0  23
15.3  100
29.8  39
30.4  25
32.7  44
38.0  54
38.2  58
40.6  23
41.3  80
55.2  25

---

13.
Calculated powder diffraction line list of RbYPt2 for CuKα, from a cell relaxed with GGA-PBE.

Crystal structure
```
data_RbYPt2
_chemical_formula_sum 'Rb4 Y4 Pt8'
_symmetry_space_group_name_H-M 'P 1'
_symmetry_Int_Tables_number 1
_cell_length_a 7.2206
_cell_length_b 7.2206
_cell_length_c 7.2206
_cell_angle_alpha 90.00
_cell_angle_beta 90.00
_cell_angle_gamma 90.00
loop_
_symmetry_equiv_pos_as_xyz
'x,y,z'
loop_
_atom_site_label
_atom_site_fract_x
_atom_site_fract_y
_atom_site_fract_z
_atom_site_occupancy
Rb1 0.0000 0.0000 0.0000 1
Rb2 0.0000 0.5000 0.5000 1
Rb3 0.5000 0.0000 0.5000 1
Rb4 0.5000 0.5000 0.0000 1
Y1 0.0000 0.0000 0.5000 1
Y2 0.0000 0.5000 0.0000 1
Y3 0.5000 0.0000 0.0000 1
Y4 0.5000 0.5000 0.5000 1
Pt1 0.2500 0.2500 0.2500 1
Pt2 0.2500 0.2500 0.7500 1
Pt3 0.2500 0.7500 0.2500 1
Pt4 0.2500 0.7500 0.7500 1
Pt5 0.7500 0.2500 0.2500 1
Pt6 0.7500 0.2500 0.7500 1
Pt7 0.7500 0.7500 0.2500 1
Pt8 0.7500 0.7500 0.7500 1
```

Top 8 peaks for 10° ≤ 2θ ≤ 80°, in order of rising 2θ:
2theta  I_rel
24.7  16
35.2  100
43.4  5
50.6  18
57.0  7
63.1  37
74.3  11
79.7  4

---

14.
Calculated powder diffraction line list of RbYZnPt2 for CuKα, from a cell relaxed with GGA-PBE.

Crystal structure
```
data_RbYZnPt2
_chemical_formula_sum 'Rb1 Y1 Zn1 Pt2'
_symmetry_space_group_name_H-M 'P 1'
_symmetry_Int_Tables_number 1
_cell_length_a 5.2703
_cell_length_b 5.2703
_cell_length_c 5.0322
_cell_angle_alpha 90.00
_cell_angle_beta 90.00
_cell_angle_gamma 90.00
loop_
_symmetry_equiv_pos_as_xyz
'x,y,z'
loop_
_atom_site_label
_atom_site_fract_x
_atom_site_fract_y
_atom_site_fract_z
_atom_site_occupancy
Rb1 0.0000 0.0000 0.0000 1
Y1 0.5000 0.5000 0.5000 1
Zn1 0.0000 0.0000 0.5000 1
Pt1 0.0000 0.5000 0.0000 1
Pt2 0.5000 0.0000 0.0000 1
```

Top 10 peaks for 10° ≤ 2θ ≤ 80°, in order of rising 2θ:
2theta  I_rel
17.6  39
29.8  100
34.0  67
35.7  30
38.6  23
48.9  24
50.1  45
58.3  30
60.5  14
62.0  24